1.
Diffraction record for Cu2PdPt6. The X-ray diffraction stick pattern is calculated, not measured: it uses a crystal structure in Alexandria, relaxed with PBE and Cu Ka.
Kinematic intensities with the Lorentz-polarization factor, no thermal factor.

Main lines, by intensity (15 to 90 degrees two-theta):
2theta, d (Å), intensity
43.11, 2.098, 100
45.34, 2.000, 100
39.18, 2.299, 80
40.87, 2.208, 48
26.92, 3.312, 37
84.80, 1.143, 36

Atomic structure:
a b c (Å): 7.3082 7.3082 7.3082
angles (deg): 42.91 42.91 42.91
Fractional positions:
Cu 0.0000 0.0000 0.0000
Cu 0.2076 0.2076 0.2076
Pd 0.7710 0.7710 0.7710
Pt 0.0015 0.4940 0.4940
Pt 0.2111 0.7127 0.7127
Pt 0.4940 0.0015 0.4940
Pt 0.4940 0.4940 0.0015
Pt 0.7127 0.2111 0.7127
Pt 0.7127 0.7127 0.2111


2.
Diffraction record for Cu7PdPt4. The X-ray diffraction stick pattern is calculated, not measured: it uses a crystal structure in Alexandria, relaxed with PBE and Cu Ka.
Kinematic intensities with the Lorentz-polarization factor, no thermal factor.

Main lines, by intensity (15 to 90 degrees two-theta):
2theta, d (Å), intensity
40.84, 2.210, 100
47.93, 1.898, 62
42.25, 2.139, 32
84.46, 1.147, 23
17.27, 5.134, 21
69.12, 1.359, 20

Atomic structure:
a b c (Å): 2.7179 2.7179 25.6707
angles (deg): 90.00 90.00 120.00
Fractional positions:
Cu 0.0000 0.0000 0.0000
Cu 0.0000 0.0000 0.2467
Cu 0.0000 0.0000 0.7533
Cu 0.3333 0.6667 0.1697
Cu 0.3333 0.6667 0.4165
Cu 0.6667 0.3333 0.5835
Cu 0.6667 0.3333 0.8303
Pd 0.0000 0.0000 0.5000
Pt 0.3333 0.6667 0.6682
Pt 0.3333 0.6667 0.9154
Pt 0.6667 0.3333 0.0846
Pt 0.6667 0.3333 0.3318